# 1
Theoretical powder diffractogram of CoRuW for Cu Kα, from DFT lattice parameters and positions (GGA-PBE).
No peak broadening, texture or thermal motion is included.

Most intense lines, 2θ from 15° to 90°, sorted by position:
2θ/deg, d/Å, I_rel
22.02, 4.036, 18
26.34, 3.383, 31
34.64, 2.589, 16
40.94, 2.204, 100
41.39, 2.182, 97
47.40, 1.918, 65
48.88, 1.863, 30
70.46, 1.336, 39
83.45, 1.158, 25
84.33, 1.148, 24

Cell and atoms:
```
data_CoRuW
_space_group_name_H-M_alt 'I m m 2'
_space_group_IT_number 44
_cell_length_a 2.734
_cell_length_b 3.726
_cell_length_c 8.073
_cell_angle_alpha 90.00
_cell_angle_beta 90.00
_cell_angle_gamma 90.00
loop_
_space_group_symop_operation_xyz
'x,y,z'
'-x,-y,z'
'-x,y,z'
'x,-y,z'
'x+1/2,y+1/2,z+1/2'
'-x+1/2,-y+1/2,z+1/2'
'-x+1/2,y+1/2,z+1/2'
'x+1/2,-y+1/2,z+1/2'
loop_
_atom_site_label
_atom_site_type_symbol
_atom_site_fract_x
_atom_site_fract_y
_atom_site_fract_z
Co1 Co 0.000 0.000 0.000
Ru1 Ru 0.000 0.000 0.660
W1 W 0.000 0.000 0.334
```


# 2
Theoretical powder diffractogram of Pm5Te2Pb2 for Cu Kα, from DFT lattice parameters and positions (GGA-PBE).
No peak broadening, texture or thermal motion is included.

Most intense lines, 2θ from 15° to 90°, sorted by position:
2θ/deg, d/Å, I_rel
26.36, 3.381, 37
29.16, 3.063, 100
30.18, 2.961, 28
32.92, 2.721, 79
33.87, 2.647, 28
34.21, 2.621, 56
34.44, 2.604, 57
37.07, 2.425, 26
44.62, 2.031, 22
62.37, 1.489, 35

Cell and atoms:
```
data_Pm5Te2Pb2
_space_group_name_H-M_alt 'C m c e'
_space_group_IT_number 64
_space_group_name_Hall '-C 2ac 2'
_cell_length_a 15.880
_cell_length_b 8.342
_cell_length_c 8.410
_cell_angle_alpha 90.00
_cell_angle_beta 90.00
_cell_angle_gamma 90.00
loop_
_atom_site_label
_atom_site_type_symbol
_atom_site_fract_x
_atom_site_fract_y
_atom_site_fract_z
Pm1 Pm 0.000 0.000 0.000
Pm2 Pm 0.137 0.166 0.337
Te1 Te 0.200 0.000 0.000
Pb1 Pb 0.000 0.137 0.637
```


# 3
Theoretical powder diffractogram of PrGa5Ir2Rh for Cu Kα, from DFT lattice parameters and positions (GGA-PBE).
No peak broadening, texture or thermal motion is included.

Most intense lines, 2θ from 15° to 90°, sorted by position:
2θ/deg, d/Å, I_rel
18.52, 4.792, 24
26.30, 3.388, 42
29.72, 3.006, 89
34.87, 2.573, 30
37.54, 2.396, 100
39.76, 2.267, 19
48.60, 1.874, 46
52.17, 1.753, 38
54.14, 1.694, 35
54.74, 1.677, 21

Cell and atoms:
```
data_PrGa5Ir2Rh
_space_group_name_H-M_alt 'P 4/m m m'
_space_group_IT_number 123
_space_group_name_Hall '-P 4 2'
_cell_length_a 4.792
_cell_length_b 4.792
_cell_length_c 7.719
_cell_angle_alpha 90.00
_cell_angle_beta 90.00
_cell_angle_gamma 90.00
loop_
_atom_site_label
_atom_site_type_symbol
_atom_site_fract_x
_atom_site_fract_y
_atom_site_fract_z
Pr1 Pr 0.000 0.000 0.000
Ga1 Ga 0.000 0.500 0.325
Ga2 Ga 0.500 0.500 0.000
Ir1 Ir 0.500 0.500 0.297
Rh1 Rh 0.000 0.000 0.500
```


Repeat the first record exactly.
Theoretical powder diffractogram of CoRuW for Cu Kα, from DFT lattice parameters and positions (GGA-PBE).
No peak broadening, texture or thermal motion is included.

Most intense lines, 2θ from 15° to 90°, sorted by position:
2θ/deg, d/Å, I_rel
22.02, 4.036, 18
26.34, 3.383, 31
34.64, 2.589, 16
40.94, 2.204, 100
41.39, 2.182, 97
47.40, 1.918, 65
48.88, 1.863, 30
70.46, 1.336, 39
83.45, 1.158, 25
84.33, 1.148, 24

Cell and atoms:
```
data_CoRuW
_space_group_name_H-M_alt 'I m m 2'
_space_group_IT_number 44
_cell_length_a 2.734
_cell_length_b 3.726
_cell_length_c 8.073
_cell_angle_alpha 90.00
_cell_angle_beta 90.00
_cell_angle_gamma 90.00
loop_
_space_group_symop_operation_xyz
'x,y,z'
'-x,-y,z'
'-x,y,z'
'x,-y,z'
'x+1/2,y+1/2,z+1/2'
'-x+1/2,-y+1/2,z+1/2'
'-x+1/2,y+1/2,z+1/2'
'x+1/2,-y+1/2,z+1/2'
loop_
_atom_site_label
_atom_site_type_symbol
_atom_site_fract_x
_atom_site_fract_y
_atom_site_fract_z
Co1 Co 0.000 0.000 0.000
Ru1 Ru 0.000 0.000 0.660
W1 W 0.000 0.000 0.334
```